# Sr2SnTe3
Calculated powder XRD pattern, a wavelength of 1.5418 Å. Input: the GGA-PBE geometry in Alexandria.
Intensities are scaled so that the largest is 100.

Main lines, most intense first (2θ from 5° to 70°):
- (1 0 3), 2θ 26.8, intensity 100
- (2 0 0), 2θ 38.4, intensity 96
- (0 2 0), 2θ 27.0, intensity 50
- (3 0 3), 2θ 62.6, intensity 27
- (2 2 0), 2θ 47.5, intensity 21
- (0 2 6), 2θ 47.4, intensity 21
- (3 2 3), 2θ 69.5, intensity 20
- (0 0 6), 2θ 38.2, intensity 19

Cell and atoms:
```
data_Sr2SnTe3
_cell_length_a 4.6899
_cell_length_b 6.6089
_cell_length_c 14.1200
_cell_angle_alpha 90.00
_cell_angle_beta 90.00
_cell_angle_gamma 90.00
_symmetry_space_group_name_H-M 'I m m m'
_symmetry_Int_Tables_number 71
_symmetry_space_group_name_Hall '-I 2 2'
loop_
_atom_site_label
_atom_site_type_symbol
_atom_site_fract_x
_atom_site_fract_y
_atom_site_fract_z
Sr1 Sr 0.0000 0.0000 0.1670
Sn1 Sn 0.0000 0.0000 0.5000
Te1 Te 0.0000 0.5000 0.1610
Te2 Te 0.0000 0.5000 0.5000
```